# 1
The following is a calculated powder XRD pattern of PrSe. It was derived from a DFT-relaxed cell (GGA-PBE, the Materials Project), using a wavelength of 1.5418 Å.
Kinematic intensities with the Lorentz-polarization factor, no thermal factor.

Top 10 peaks for 2θ from 10° to 90°, sorted by position:
Position (°2θ), intensity
25.6, 149
29.6, 1000
42.4, 749
50.1, 75
52.5, 265
61.5, 123
67.7, 30
69.7, 339
77.5, 252
83.2, 23

Atomic structure:
```
8
Lattice="6.035 0.000 0.000 0.000 6.035 0.000 0.000 0.000 6.035" Properties=species:S:1:pos:R:3 pbc="T T T"
Pr 0.000 0.000 0.000
Pr 0.000 3.017 3.017
Pr 3.017 0.000 3.017
Pr 3.017 3.017 0.000
Se 0.000 0.000 3.017
Se 0.000 3.017 0.000
Se 3.017 0.000 0.000
Se 3.017 3.017 3.017
```

# 2
The following is a calculated powder XRD pattern of Mg3Zn. It was derived from a DFT-relaxed cell (GGA-PBE, the Materials Project), using a wavelength of 1.5418 Å.
Kinematic intensities with the Lorentz-polarization factor, no thermal factor.

Top 10 peaks for 2θ from 10° to 90°, sorted by position:
Position (°2θ), intensity
17.7, 201
19.2, 358
33.4, 282
35.9, 369
38.0, 1000
38.9, 443
49.8, 175
60.9, 149
65.9, 210
72.7, 182

Atomic structure:
```
8
Lattice="3.131 0.000 0.000 0.000 10.003 0.000 0.000 0.000 5.224" Properties=species:S:1:pos:R:3 pbc="T T T"
Mg 0.000 0.000 0.000
Mg 0.000 2.417 1.828
Mg 0.000 7.586 1.828
Mg 1.566 2.585 4.440
Mg 1.566 5.001 2.612
Mg 1.566 7.418 4.440
Zn 0.000 5.001 0.078
Zn 1.566 0.000 2.690
```

# 3
The following is a calculated powder XRD pattern of Na3NdTi2Nb2O12. It was derived from a DFT-relaxed cell (GGA-PBE, the Materials Project), using a wavelength of 1.5418 Å.
Kinematic intensities with the Lorentz-polarization factor, no thermal factor.

Top 10 peaks for 2θ from 10° to 90°, sorted by position:
Position (°2θ), intensity
11.3, 203
19.5, 220
19.7, 211
25.3, 184
32.0, 269
32.2, 1000
32.5, 236
46.1, 186
46.3, 363
57.8, 178

Atomic structure:
```
20
Lattice="5.513 0.000 0.000 0.016 5.602 0.000 0.006 0.014 7.846" Properties=species:S:1:pos:R:3 pbc="T T T"
Na 0.000 0.000 0.000
Na 0.080 5.370 3.935
Na 2.811 2.785 0.008
Nd 2.765 2.456 3.933
Ti 0.013 2.619 2.031
Ti 2.843 5.408 5.843
Nb 0.032 2.672 6.004
Nb 2.826 5.414 1.855
O 0.397 2.639 0.037
O 1.257 1.242 2.343
O 1.276 1.239 5.527
O 1.629 3.943 2.316
O 1.649 3.963 5.552
O 2.391 5.506 7.829
O 3.168 0.033 3.960
O 3.940 1.586 6.084
O 3.949 1.595 1.793
O 4.356 4.371 6.155
O 4.379 4.347 1.690
O 5.129 2.847 3.903
```

# 4
The following is a calculated powder XRD pattern of MgCo. It was derived from a DFT-relaxed cell (GGA-PBE, the Materials Project), using a wavelength of 1.5418 Å.
Kinematic intensities with the Lorentz-polarization factor, no thermal factor.

Top 10 peaks for 2θ from 10° to 90°, sorted by position:
Position (°2θ), intensity
13.5, 1000
38.9, 112
41.3, 768
45.2, 232
47.4, 94
48.1, 201
52.9, 113
53.5, 118
70.4, 155
85.0, 156

Atomic structure:
```
24
Lattice="0.000 5.677 5.677 5.677 0.000 5.677 5.677 5.677 0.000" Properties=species:S:1:pos:R:3 pbc="T T T"
Mg 4.258 4.258 0.866
Mg 4.258 0.866 4.258
Mg 7.649 4.258 4.258
Mg 7.096 7.096 3.704
Mg 7.096 3.704 7.096
Mg 10.488 7.096 7.096
Mg 0.866 4.258 4.258
Mg 4.258 7.649 4.258
Mg 4.258 4.258 7.649
Mg 3.704 7.096 7.096
Mg 7.096 10.488 7.096
Mg 7.096 7.096 10.488
Co 5.677 2.838 2.838
Co 3.378 3.378 3.378
Co 5.137 5.137 3.378
Co 5.137 3.378 5.137
Co 7.975 6.217 6.217
Co 2.838 5.677 2.838
Co 2.838 2.838 5.677
Co 5.677 5.677 5.677
Co 3.378 5.137 5.137
Co 6.217 7.975 6.217
Co 6.217 6.217 7.975
Co 7.975 7.975 7.975
```

# 5
The following is a calculated powder XRD pattern of FePd2Se2. It was derived from a DFT-relaxed cell (GGA-PBE, the Materials Project), using a wavelength of 1.5418 Å.
Kinematic intensities with the Lorentz-polarization factor, no thermal factor.

Top 10 peaks for 2θ from 10° to 90°, sorted by position:
Position (°2θ), intensity
33.5, 562
35.2, 600
35.9, 1000
39.4, 396
41.0, 223
43.4, 666
45.0, 232
49.4, 733
52.4, 508
63.6, 190

Atomic structure:
```
10
Lattice="-2.975 5.355 2.550 2.975 -5.355 2.550 2.975 5.355 -2.550" Properties=species:S:1:pos:R:3 pbc="T T T"
Fe 0.000 0.000 1.275
Fe 0.000 0.000 3.825
Pd 3.689 1.192 0.000
Pd 0.714 4.163 0.000
Pd 2.261 1.192 2.550
Pd -0.714 4.163 2.550
Se 1.201 1.541 0.000
Se 1.201 -1.541 2.550
Se 1.774 6.896 0.000
Se 1.774 3.813 2.550
```